(1)
Calculated X-ray powder pattern of K5Rb2Pd for Cu Kα, from the GGA-PBE geometry in Alexandria.

Principal peaks in the range 2θ = 15–90°, low angle first:
two_theta  intensity
18.4  95
21.7  76
23.1  56
24.8  100
25.2  60
28.4  70
29.5  53
36.9  51

Atomic structure:
```
K5Rb2Pd
1.0
7.179 -4.872 0.000
7.179 4.872 0.000
-3.731 0.000 7.611
K Rb Pd
5 2 1
Cartesian
0.000 0.000 0.000 K
0.273 2.243 7.600 K
7.523 2.243 3.407 K
0.273 -2.243 7.600 K
7.523 -2.243 3.407 K
4.349 0.000 5.740 Rb
10.996 0.000 3.710 Rb
7.978 0.000 5.692 Pd
```

---

(2)
Calculated X-ray powder pattern of K5Rb12Pd2 for Cu Kα, from the GGA-PBE geometry in Alexandria.

Principal peaks in the range 2θ = 15–90°, low angle first:
two_theta  intensity
21.8  72
22.2  76
22.5  89
23.3  84
25.1  100
25.8  75
27.0  67
35.5  50

Atomic structure:
```
K5Rb12Pd2
1.0
8.431 0.000 0.000
-0.263 12.714 0.000
-0.563 -0.586 12.863
K Rb Pd
5 12 2
Cartesian
0.000 0.000 0.000 K
1.353 4.780 6.955 K
2.120 9.339 5.665 K
5.484 2.789 7.198 K
6.251 7.348 5.908 K
-0.492 4.135 11.504 Rb
0.626 8.345 10.107 Rb
1.071 0.412 8.366 Rb
2.666 0.996 3.681 Rb
3.100 5.703 2.816 Rb
3.545 2.616 12.046 Rb
4.059 9.512 0.816 Rb
4.504 6.425 10.046 Rb
4.938 11.132 9.181 Rb
6.533 11.716 4.497 Rb
6.979 3.783 2.755 Rb
8.096 7.993 1.359 Rb
2.242 6.057 12.466 Pd
5.362 6.071 0.397 Pd
```

---

(3)
Calculated X-ray powder pattern of KRbPd3 for Cu Kα, from the GGA-PBE geometry in Alexandria.

Principal peaks in the range 2θ = 15–90°, low angle first:
two_theta  intensity
30.3  47
32.0  60
32.4  31
36.0  100
43.2  26
45.8  30
50.7  24
57.4  22

Atomic structure:
```
KRbPd3
1.0
3.210 1.853 7.540
-3.210 1.853 7.540
0.000 -3.707 7.540
K Rb Pd
2 2 6
Cartesian
0.000 0.000 1.882 K
0.000 0.000 20.738 K
0.000 0.000 7.974 Rb
0.000 0.000 14.645 Rb
-1.855 -1.071 10.496 Pd
0.000 -2.142 12.124 Pd
-1.855 1.071 12.124 Pd
1.855 -1.071 10.496 Pd
0.000 2.142 10.496 Pd
1.855 1.071 12.124 Pd
```

---

(4)
Calculated X-ray powder pattern of KRbPdSe2 for Cu Kα, from the GGA-PBE geometry in Alexandria.

Principal peaks in the range 2θ = 15–90°, low angle first:
two_theta  intensity
22.9  26
28.8  29
30.3  100
34.7  24
40.2  50
50.7  18
53.2  20
61.9  18

Atomic structure:
```
KRbPdSe2
1.0
6.002 0.000 0.000
0.000 7.815 0.000
0.000 0.000 6.747
K Rb Pd Se
2 2 2 4
Cartesian
1.500 0.000 0.640 K
4.501 0.000 6.107 K
1.500 3.908 1.960 Rb
4.501 3.908 4.787 Rb
0.000 0.000 3.374 Pd
3.001 0.000 3.374 Pd
1.500 1.686 4.537 Se
1.500 6.129 4.537 Se
4.501 1.686 2.210 Se
4.501 6.129 2.210 Se
```

---

(5)
Calculated X-ray powder pattern of K2ReSbPd for Cu Kα, from the GGA-PBE geometry in Alexandria.

Principal peaks in the range 2θ = 15–90°, low angle first:
two_theta  intensity
19.5  100
22.4  39
27.7  98
35.6  25
39.6  37
40.9  31
45.7  49
54.3  29

Atomic structure:
```
K2ReSbPd
1.0
6.432 0.000 0.000
0.000 6.432 0.000
0.000 0.000 5.043
K Re Sb Pd
2 1 1 1
Cartesian
0.000 3.216 0.000 K
3.216 0.000 0.000 K
0.000 0.000 0.000 Re
0.000 0.000 2.522 Sb
3.216 3.216 2.522 Pd
```

---

(6)
Calculated X-ray powder pattern of KPdS for Cu Kα, from the GGA-PBE geometry in Alexandria.

Principal peaks in the range 2θ = 15–90°, low angle first:
two_theta  intensity
18.0  100
29.5  79
36.2  71
36.4  44
41.8  32
42.1  65
52.0  29
56.6  23

Atomic structure:
```
KPdS
1.0
4.325 0.000 0.000
0.000 7.656 0.000
0.000 0.000 9.871
K Pd S
4 4 4
Cartesian
0.030 1.565 2.988 K
2.133 6.091 7.924 K
2.192 2.263 6.883 K
4.295 5.393 1.947 K
0.011 6.563 5.052 Pd
2.151 1.092 0.116 Pd
2.173 4.920 4.819 Pd
4.314 2.736 9.755 Pd
0.012 4.057 4.980 S
2.151 3.598 0.045 S
2.174 7.426 4.891 S
4.313 0.230 9.826 S
```

---

(7)
Calculated X-ray powder pattern of K3PdS3 for Cu Kα, from the GGA-PBE geometry in Alexandria.

Principal peaks in the range 2θ = 15–90°, low angle first:
two_theta  intensity
17.0  100
23.8  61
28.8  48
29.1  34
29.9  73
33.4  66
34.4  37
51.7  53

Atomic structure:
```
K3PdS3
1.0
5.368 3.099 2.102
-5.368 3.099 2.102
0.000 -6.199 2.102
K Pd S
3 1 3
Cartesian
-2.290 -1.322 2.102 K
2.290 -1.322 2.102 K
0.000 2.644 2.102 K
0.000 0.000 5.308 Pd
-1.955 -1.129 5.250 S
1.955 -1.129 5.250 S
0.000 2.258 5.250 S
```

---

(8)
Calculated X-ray powder pattern of K2PdS2 for Cu Kα, from the GGA-PBE geometry in Alexandria.

Principal peaks in the range 2θ = 15–90°, low angle first:
two_theta  intensity
15.5  100
17.6  55
24.8  30
29.5  88
36.0  64
38.9  73
40.3  31
47.6  37

Atomic structure:
```
K2PdS2
1.0
6.943 0.000 0.000
0.000 10.100 0.000
0.000 0.000 3.590
K Pd S
4 2 4
Cartesian
0.543 1.696 0.000 K
2.929 6.746 0.000 K
4.014 3.353 0.000 K
6.400 8.403 0.000 K
0.000 5.050 0.000 Pd
3.471 0.000 0.000 Pd
1.406 4.334 1.795 S
2.065 9.383 1.795 S
4.878 0.716 1.795 S
5.536 5.766 1.795 S
```